For CaSm12Ni6, a PBE-relaxed structure gives the computed X-ray powder pattern in this record (Cu Kα (weighted mean of Kα1 and Kα2)).

Structural model:
Cell lengths 8.747, 8.747, 8.747 Å; angles 109.47, 109.47, 109.47 degrees
Fractional positions:
Ca: 0.000 0.000 0.000
Sm: 0.127 0.813 0.315
Sm: 0.187 0.315 0.502
Sm: 0.187 0.685 0.873
Sm: 0.315 0.127 0.813
Sm: 0.315 0.502 0.187
Sm: 0.498 0.813 0.685
Sm: 0.502 0.187 0.315
Sm: 0.685 0.498 0.813
Sm: 0.685 0.873 0.187
Sm: 0.813 0.315 0.127
Sm: 0.813 0.685 0.498
Sm: 0.873 0.187 0.685
Ni: 0.121 0.621 0.500
Ni: 0.379 0.500 0.879
Ni: 0.500 0.121 0.621
Ni: 0.500 0.879 0.379
Ni: 0.621 0.500 0.121
Ni: 0.879 0.379 0.500

The 10 most intense peaks (2θ from 10° to 90°), most intense first:
2theta  I (rel.)
33.19  100
27.93  52
52.85  34
56.13  32
30.66  30
45.81  25
82.08  17
80.73  17
54.51  16
12.39  15

For CaNi2Sn4, a PBE-relaxed structure gives the computed X-ray powder pattern in this record (Cu Kα (weighted mean of Kα1 and Kα2)).

Structural model:
Cell lengths 18.601, 4.384, 7.207 Å; angles 90.00, 90.00, 90.00 degrees
Fractional positions:
Ca: 0.142 0.250 0.007
Ca: 0.358 0.750 0.507
Ca: 0.642 0.250 0.493
Ca: 0.858 0.750 0.993
Ni: 0.037 0.750 0.246
Ni: 0.213 0.250 0.523
Ni: 0.287 0.750 0.023
Ni: 0.463 0.250 0.746
Ni: 0.537 0.750 0.254
Ni: 0.713 0.250 0.977
Ni: 0.787 0.750 0.477
Ni: 0.963 0.250 0.754
Sn: 0.030 0.750 0.863
Sn: 0.068 0.250 0.493
Sn: 0.180 0.750 0.307
Sn: 0.198 0.750 0.728
Sn: 0.302 0.250 0.228
Sn: 0.320 0.250 0.807
Sn: 0.432 0.750 0.993
Sn: 0.470 0.250 0.363
Sn: 0.530 0.750 0.637
Sn: 0.568 0.250 0.007
Sn: 0.680 0.750 0.193
Sn: 0.698 0.750 0.772
Sn: 0.802 0.250 0.272
Sn: 0.820 0.250 0.693
Sn: 0.932 0.750 0.507
Sn: 0.970 0.250 0.137

The 10 most intense peaks (2θ from 10° to 90°), most intense first:
2theta  I (rel.)
33.60  100
33.96  58
41.18  54
43.70  45
44.08  28
36.02  25
35.46  24
58.92  21
63.00  21
40.26  19

For CaNi9Sn2, a PBE-relaxed structure gives the computed X-ray powder pattern in this record (Cu Kα (weighted mean of Kα1 and Kα2)).

Structural model:
Cell lengths 8.220, 8.220, 4.907 Å; angles 90.00, 90.00, 90.00 degrees
Fractional positions:
Ca: 0.000 0.000 0.000
Ca: 0.500 0.500 0.000
Ni: 0.000 0.500 0.500
Ni: 0.067 0.207 0.500
Ni: 0.173 0.673 0.247
Ni: 0.173 0.673 0.753
Ni: 0.207 0.933 0.500
Ni: 0.293 0.433 0.500
Ni: 0.327 0.173 0.247
Ni: 0.327 0.173 0.753
Ni: 0.433 0.707 0.500
Ni: 0.500 0.000 0.500
Ni: 0.567 0.293 0.500
Ni: 0.673 0.827 0.247
Ni: 0.673 0.827 0.753
Ni: 0.707 0.567 0.500
Ni: 0.793 0.067 0.500
Ni: 0.827 0.327 0.247
Ni: 0.827 0.327 0.753
Ni: 0.933 0.793 0.500
Sn: 0.129 0.371 0.000
Sn: 0.371 0.871 0.000
Sn: 0.629 0.129 0.000
Sn: 0.871 0.629 0.000

The 10 most intense peaks (2θ from 10° to 90°), most intense first:
2theta  I (rel.)
44.39  100
39.22  74
43.78  47
45.50  33
15.24  33
46.89  26
48.00  21
73.00  18
30.38  17
36.62  14

For Ca3Ni3Sn8, a PBE-relaxed structure gives the computed X-ray powder pattern in this record (Cu Kα (weighted mean of Kα1 and Kα2)).

Structural model:
Cell lengths 8.573, 8.573, 9.625 Å; angles 123.17, 123.17, 34.09 degrees
Fractional positions:
Ca: 0.000 0.000 0.000
Ca: 0.285 0.285 0.296
Ca: 0.715 0.715 0.704
Ni: 0.000 0.000 0.500
Ni: 0.345 0.345 0.671
Ni: 0.655 0.655 0.329
Sn: 0.139 0.139 0.844
Sn: 0.149 0.149 0.436
Sn: 0.351 0.351 0.941
Sn: 0.499 0.499 0.335
Sn: 0.501 0.501 0.665
Sn: 0.649 0.649 0.059
Sn: 0.851 0.851 0.564
Sn: 0.861 0.861 0.156

The 10 most intense peaks (2θ from 10° to 90°), most intense first:
2theta  I (rel.)
35.73  100
32.81  100
32.39  59
35.60  58
42.28  55
40.25  39
33.26  39
43.26  37
54.90  33
28.49  31

For CaNi5Sn7, a PBE-relaxed structure gives the computed X-ray powder pattern in this record (Cu Kα (weighted mean of Kα1 and Kα2)).

Structural model:
Cell lengths 7.181, 7.181, 7.181 Å; angles 133.72, 95.92, 101.87 degrees
Fractional positions:
Ca: 0.000 0.000 0.000
Ni: 0.002 0.503 0.026
Ni: 0.002 0.976 0.499
Ni: 0.477 0.503 0.501
Ni: 0.477 0.976 0.974
Ni: 0.743 0.243 0.500
Sn: 0.147 0.465 0.682
Sn: 0.230 0.730 0.500
Sn: 0.343 0.016 0.327
Sn: 0.344 0.344 0.000
Sn: 0.669 0.669 0.000
Sn: 0.689 0.016 0.673
Sn: 0.782 0.465 0.318

The 10 most intense peaks (2θ from 10° to 90°), most intense first:
2theta  I (rel.)
42.16  100
37.91  69
32.11  56
31.71  43
33.69  35
42.58  29
44.14  29
67.17  26
39.84  26
37.56  24

For Ca4NiSn8, a PBE-relaxed structure gives the computed X-ray powder pattern in this record (Cu Kα (weighted mean of Kα1 and Kα2)).

Structural model:
Cell lengths 4.582, 4.687, 16.137 Å; angles 90.00, 90.00, 90.00 degrees
Fractional positions:
Ca: 0.000 0.000 0.000
Ca: 0.000 0.500 0.486
Ca: 0.500 0.000 0.795
Ca: 0.500 0.500 0.307
Ni: 0.000 0.500 0.695
Sn: 0.000 0.000 0.324
Sn: 0.000 0.000 0.627
Sn: 0.000 0.500 0.152
Sn: 0.000 0.500 0.851
Sn: 0.500 0.000 0.160
Sn: 0.500 0.000 0.465
Sn: 0.500 0.500 0.631
Sn: 0.500 0.500 0.971

The 10 most intense peaks (2θ from 10° to 90°), most intense first:
2theta  I (rel.)
31.98  100
38.41  21
39.33  19
33.31  17
19.72  16
56.15  14
65.46  14
66.72  12
51.74  10
66.87  10

For Ca7Ni4Sn13, a PBE-relaxed structure gives the computed X-ray powder pattern in this record (Cu Kα (weighted mean of Kα1 and Kα2)).

Structural model:
Cell lengths 11.301, 11.301, 4.632 Å; angles 90.00, 90.00, 90.00 degrees
Fractional positions:
Ca: 0.000 0.000 0.000
Ca: 0.000 0.500 0.500
Ca: 0.328 0.339 0.500
Ca: 0.339 0.672 0.500
Ca: 0.500 0.000 0.500
Ca: 0.661 0.328 0.500
Ca: 0.672 0.661 0.500
Ni: 0.120 0.726 0.000
Ni: 0.274 0.120 0.000
Ni: 0.726 0.880 0.000
Ni: 0.880 0.274 0.000
Sn: 0.077 0.810 0.500
Sn: 0.110 0.284 0.000
Sn: 0.190 0.077 0.500
Sn: 0.215 0.520 0.000
Sn: 0.284 0.890 0.000
Sn: 0.480 0.215 0.000
Sn: 0.500 0.500 0.000
Sn: 0.520 0.785 0.000
Sn: 0.716 0.110 0.000
Sn: 0.785 0.480 0.000
Sn: 0.810 0.923 0.500
Sn: 0.890 0.716 0.000
Sn: 0.923 0.190 0.500

The 10 most intense peaks (2θ from 10° to 90°), most intense first:
2theta  I (rel.)
31.62  100
38.89  33
35.53  31
44.61  28
39.89  21
53.68  19
34.55  19
19.16  18
43.11  17
61.36  16

For Ca3NiSn3, a PBE-relaxed structure gives the computed X-ray powder pattern in this record (Cu Kα (weighted mean of Kα1 and Kα2)).

Structural model:
Cell lengths 6.093, 6.093, 15.210 Å; angles 108.32, 108.32, 44.62 degrees
Fractional positions:
Ca: 0.027 0.027 0.387
Ca: 0.094 0.094 0.917
Ca: 0.244 0.244 0.237
Ca: 0.756 0.756 0.763
Ca: 0.906 0.906 0.083
Ca: 0.973 0.973 0.613
Ni: 0.255 0.255 0.603
Ni: 0.745 0.745 0.397
Sn: 0.347 0.347 0.459
Sn: 0.380 0.380 0.922
Sn: 0.459 0.459 0.754
Sn: 0.541 0.541 0.246
Sn: 0.620 0.620 0.078
Sn: 0.653 0.653 0.541

The 10 most intense peaks (2θ from 10° to 90°), most intense first:
2theta  I (rel.)
37.42  100
30.43  90
20.96  85
38.93  65
15.73  54
55.29  49
31.79  48
37.61  42
30.74  39
34.89  39

For Ca2NiSn3, a PBE-relaxed structure gives the computed X-ray powder pattern in this record (Cu Kα (weighted mean of Kα1 and Kα2)).

Structural model:
Cell lengths 4.395, 4.576, 8.020 Å; angles 90.00, 90.00, 90.00 degrees
Fractional positions:
Ca: 0.000 0.000 0.000
Ca: 0.000 0.500 0.456
Ni: 0.500 0.000 0.283
Sn: 0.500 0.000 0.593
Sn: 0.500 0.500 0.162
Sn: 0.500 0.500 0.807

The 10 most intense peaks (2θ from 10° to 90°), most intense first:
2theta  I (rel.)
30.32  100
20.21  84
39.02  56
39.40  48
30.17  41
44.33  36
57.94  35
41.08  31
44.65  23
58.21  22

For SrCa2Ni, a PBE-relaxed structure gives the computed X-ray powder pattern in this record (Cu Kα (weighted mean of Kα1 and Kα2)).

Structural model:
Cell lengths 6.880, 6.880, 9.700 Å; angles 90.00, 90.00, 145.21 degrees
Fractional positions:
Sr: 0.078 0.922 0.750
Sr: 0.922 0.078 0.250
Ca: 0.347 0.653 0.570
Ca: 0.347 0.653 0.930
Ca: 0.653 0.347 0.070
Ca: 0.653 0.347 0.430
Ni: 0.249 0.751 0.250
Ni: 0.751 0.249 0.750

The 10 most intense peaks (2θ from 10° to 90°), most intense first:
2theta  I (rel.)
31.23  100
29.27  54
30.83  44
18.29  34
41.06  31
28.71  27
45.47  25
35.99  21
44.03  20
56.51  19

For SrCa7Ni2, a PBE-relaxed structure gives the computed X-ray powder pattern in this record (Cu Kα (weighted mean of Kα1 and Kα2)).

Structural model:
Cell lengths 8.803, 8.803, 5.495 Å; angles 90.00, 90.00, 117.53 degrees
Fractional positions:
Sr: 0.000 0.000 0.000
Ca: 0.050 0.340 0.500
Ca: 0.299 0.701 0.000
Ca: 0.340 0.050 0.500
Ca: 0.500 0.500 0.500
Ca: 0.660 0.950 0.500
Ca: 0.701 0.299 0.000
Ca: 0.950 0.660 0.500
Ni: 0.301 0.699 0.500
Ni: 0.699 0.301 0.500

The 10 most intense peaks (2θ from 10° to 90°), most intense first:
2theta  I (rel.)
32.59  100
30.79  86
34.47  80
34.20  73
20.19  70
45.45  68
16.13  66
19.76  64
19.45  64
48.17  59

For SrCaNi4, a PBE-relaxed structure gives the computed X-ray powder pattern in this record (Cu Kα (weighted mean of Kα1 and Kα2)).

Structural model:
Cell lengths 5.168, 5.168, 8.534 Å; angles 90.00, 90.00, 120.00 degrees
Fractional positions:
Sr: 0.333 0.667 0.068
Sr: 0.667 0.333 0.932
Ca: 0.333 0.667 0.440
Ca: 0.667 0.333 0.560
Ni: 0.000 0.000 0.000
Ni: 0.000 0.000 0.500
Ni: 0.163 0.326 0.741
Ni: 0.163 0.837 0.741
Ni: 0.326 0.163 0.259
Ni: 0.674 0.837 0.741
Ni: 0.837 0.163 0.259
Ni: 0.837 0.674 0.259

The 10 most intense peaks (2θ from 10° to 90°), most intense first:
2theta  I (rel.)
40.82  100
41.73  91
37.46  68
69.24  31
64.04  29
34.71  29
73.26  26
66.38  22
45.78  21
42.36  19

Number 7 is which compound? Ca7Ni4Sn13